The following is a theoretical powder diffraction line list of BaGa11Rh. It was derived from a DFT-relaxed cell (GGA-PBE, Alexandria), using Cu Kα.
No peak broadening, texture or thermal motion is included.

Cell lengths 6.8194, 6.8194, 8.2903 Å; angles 96.76, 96.76, 135.53 degrees
Sites, in units of the cell vectors:
Ba1 0.0000 0.0000 0.0000
Ga1 0.0000 0.5000 0.0000
Ga2 0.0009 0.6527 0.6288
Ga3 0.2590 0.4884 0.7505
Ga4 0.3473 0.9991 0.3712
Ga5 0.4884 0.2590 0.7505
Ga6 0.5000 0.0000 0.0000
Ga7 0.5000 0.5000 0.5000
Ga8 0.5116 0.7410 0.2495
Ga9 0.6527 0.0009 0.6288
Ga10 0.7410 0.5116 0.2495
Ga11 0.9991 0.3473 0.3712
Rh1 0.0000 0.0000 0.5000

Peak list (12 most intense, 15° ≤ 2θ ≤ 90°, in order of rising 2θ)
| d [Å] | Rel. int. |
| --- | --- |
| 3.534 | 25.6 |
| 2.771 | 41.8 |
| 2.630 | 83.9 |
| 2.463 | 100.0 |
| 2.425 | 18.0 |
| 2.286 | 95.0 |
| 2.266 | 17.7 |
| 2.245 | 43.6 |
| 2.159 | 31.0 |
| 1.998 | 31.7 |
| 1.853 | 22.4 |
| 1.385 | 28.3 |

The following is a theoretical powder diffraction line list of BeNbNi14. It was derived from a DFT-relaxed cell (GGA-PBE, Alexandria), using Cu Kα.
No peak broadening, texture or thermal motion is included.

Cell lengths 5.0281, 5.0281, 7.0569 Å; angles 90.00, 90.00, 90.00 degrees
Sites, in units of the cell vectors:
Be1 0.0000 0.0000 0.0000
Nb1 0.5000 0.5000 0.0000
Ni1 0.0000 0.0000 0.5000
Ni2 0.0000 0.5000 0.0000
Ni3 0.0000 0.5000 0.5000
Ni4 0.2440 0.2440 0.2522
Ni5 0.2440 0.2440 0.7478
Ni6 0.2440 0.7560 0.2522
Ni7 0.2440 0.7560 0.7478
Ni8 0.5000 0.0000 0.0000
Ni9 0.5000 0.0000 0.5000
Ni10 0.5000 0.5000 0.5000
Ni11 0.7560 0.2440 0.2522
Ni12 0.7560 0.2440 0.7478
Ni13 0.7560 0.7560 0.2522
Ni14 0.7560 0.7560 0.7478

Peak list (12 most intense, 15° ≤ 2θ ≤ 90°, in order of rising 2θ)
| d [Å] | Rel. int. |
| --- | --- |
| 5.028 | 2.5 |
| 4.095 | 5.3 |
| 2.888 | 3.2 |
| 2.249 | 1.6 |
| 2.142 | 1.8 |
| 2.131 | 0.9 |
| 2.047 | 100.0 |
| 1.778 | 31.2 |
| 1.764 | 15.3 |
| 1.297 | 0.9 |
| 1.257 | 9.0 |
| 1.252 | 17.8 |

The following is a theoretical powder diffraction line list of Ba8SnPt2. It was derived from a DFT-relaxed cell (GGA-PBE, Alexandria), using Cu Kα.
No peak broadening, texture or thermal motion is included.

Cell lengths 6.5054, 10.5805, 10.5845 Å; angles 119.97, 90.01, 90.00 degrees
Sites, in units of the cell vectors:
Ba1 0.2445 0.3333 0.1666
Ba2 0.2500 0.3359 0.6667
Ba3 0.2501 0.8309 0.1641
Ba4 0.2501 0.8331 0.6691
Ba5 0.7499 0.1669 0.3309
Ba6 0.7499 0.1691 0.8359
Ba7 0.7500 0.6641 0.3333
Ba8 0.7555 0.6667 0.8334
Sn1 0.5000 0.0000 0.5000
Pt1 0.2622 0.6667 0.8335
Pt2 0.7378 0.3333 0.1665

Peak list (12 most intense, 15° ≤ 2θ ≤ 90°, in order of rising 2θ)
| d [Å] | Rel. int. |
| --- | --- |
| 5.298 | 91.9 |
| 4.583 | 47.4 |
| 3.747 | 58.1 |
| 3.253 | 32.7 |
| 3.060 | 36.8 |
| 2.649 | 100.0 |
| 2.645 | 26.6 |
| 2.369 | 21.0 |
| 2.053 | 53.6 |
| 1.873 | 16.7 |
| 1.528 | 32.3 |
| 1.386 | 21.1 |